Entry 1:
UGa5Ir: computed powder XRD pattern (Cu Kα X-rays), based on a PBE-relaxed structure.
Neutral-atom scattering factors, no anomalous dispersion.

Structure:
Unit cell a=4.3483 b=4.3483 c=6.7458 alpha=90.00 beta=90.00 gamma=90.00
Space group P4/mmm (No. 123)
Asymmetric unit:
U: 0.0000 0.0000 0.0000 (multiplicity 1)
Ga: 0.0000 0.5000 0.2970 (multiplicity 4)
Ga: 0.5000 0.5000 0.0000 (multiplicity 1)
Ir: 0.0000 0.0000 0.5000 (multiplicity 1)

Peak list (10 most intense, 2θ = 10–80°, in order of falling intensity)
hkl, 2θ (°), I (rel.)
1 1 2, 39.67, 100
1 0 0, 20.42, 57
2 0 0, 41.54, 50
3 1 2, 74.51, 39
1 0 2, 33.63, 34
0 0 4, 54.45, 25
2 2 0, 60.19, 17
2 0 4, 70.71, 17
2 1 0, 46.71, 14
1 1 1, 31.99, 13

---

Entry 2:
U2Ga9Ir3: computed powder XRD pattern (Cu Kα X-rays), based on a PBE-relaxed structure.
Neutral-atom scattering factors, no anomalous dispersion.

Structure:
Unit cell a=13.2732 b=7.6208 c=9.4083 alpha=90.00 beta=90.00 gamma=90.00
Space group Cmcm (No. 63)
Asymmetric unit:
U: 0.1641 0.1671 0.2500 (multiplicity 8)
Ga: 0.0000 0.1275 0.7500 (multiplicity 4)
Ga: 0.0000 0.3331 0.0673 (multiplicity 8)
Ga: 0.1028 0.4407 0.7500 (multiplicity 8)
Ga: 0.1669 0.1668 0.5785 (multiplicity 16)
Ir: 0.0000 0.0000 0.0000 (multiplicity 4)
Ir: 0.1713 0.5000 0.0000 (multiplicity 8)

Peak list (10 most intense, 2θ = 10–80°, in order of falling intensity)
hkl, 2θ (°), I (rel.)
3 1 3, 37.09, 100
3 1 2, 30.13, 82
3 3 0, 40.97, 79
6 0 0, 40.79, 49
0 0 4, 38.27, 29
0 2 4, 45.28, 27
3 1 6, 64.21, 27
3 1 1, 25.15, 25
6 2 2, 51.57, 22
3 3 4, 57.30, 22

---

Entry 3:
ZnGaIr2: computed powder XRD pattern (Cu Kα X-rays), based on a PBE-relaxed structure.
Neutral-atom scattering factors, no anomalous dispersion.

Structure:
Unit cell a=6.0823 b=6.0823 c=6.0823 alpha=90.00 beta=90.00 gamma=90.00
Space group Fm-3m (No. 225)
Asymmetric unit:
Zn: 0.0000 0.0000 0.0000 (multiplicity 4)
Ga: 0.0000 0.0000 0.5000 (multiplicity 4)
Ir: 0.2500 0.2500 0.2500 (multiplicity 8)

Peak list (6 most intense, 2θ = 10–80°, in order of falling intensity)
hkl, 2θ (°), I (rel.)
2 2 0, 42.02, 100
4 2 2, 76.77, 34
2 0 0, 29.37, 26
4 0 0, 60.93, 17
4 2 0, 69.06, 10
2 2 2, 52.09, 7

---

Entry 4:
Zr6Ga16Ir7: computed powder XRD pattern (Cu Kα X-rays), based on a PBE-relaxed structure.
Neutral-atom scattering factors, no anomalous dispersion.

Structure:
Unit cell a=12.4591 b=12.4591 c=12.4591 alpha=90.00 beta=90.00 gamma=90.00
Space group Fm-3m (No. 225)
Asymmetric unit:
Zr: 0.0000 0.0000 0.1955 (multiplicity 24)
Ga: 0.1219 0.1219 0.3781 (multiplicity 32)
Ga: 0.1557 0.1557 0.1557 (multiplicity 32)
Ir: 0.0000 0.0000 0.5000 (multiplicity 4)
Ir: 0.0000 0.2500 0.2500 (multiplicity 24)

Peak list (10 most intense, 2θ = 10–80°, in order of falling intensity)
hkl, 2θ (°), I (rel.)
4 4 0, 40.98, 100
6 2 2, 48.46, 29
2 2 2, 24.75, 29
3 3 3, 37.51, 22
8 4 4, 74.64, 18
4 2 2, 35.29, 12
8 0 0, 59.34, 12
6 6 2, 65.29, 12
4 0 0, 28.66, 11
5 3 1, 42.95, 8

---

Entry 5:
K3Ga: computed powder XRD pattern (Cu Kα X-rays), based on a PBE-relaxed structure.
Neutral-atom scattering factors, no anomalous dispersion.

Structure:
Unit cell a=9.0670 b=9.0670 c=9.0670 alpha=90.00 beta=90.00 gamma=90.00
Space group Fm-3m (No. 225)
Asymmetric unit:
K: 0.0000 0.0000 0.0000 (multiplicity 4)
K: 0.2500 0.2500 0.2500 (multiplicity 8)
Ga: 0.0000 0.0000 0.5000 (multiplicity 4)

Peak list (10 most intense, 2θ = 10–80°, in order of falling intensity)
hkl, 2θ (°), I (rel.)
2 2 0, 27.83, 100
4 2 2, 49.23, 37
4 0 0, 39.77, 18
6 4 2, 79.03, 16
6 2 0, 65.06, 15
4 4 0, 57.50, 11
1 1 1, 16.94, 5
4 4 4, 72.18, 4
3 1 1, 32.76, 4
2 0 0, 19.58, 3

---

Entry 6:
K3Ga: computed powder XRD pattern (Cu Kα X-rays), based on a PBE-relaxed structure.
Neutral-atom scattering factors, no anomalous dispersion.

Structure:
Unit cell a=5.7237 b=5.7237 c=5.7237 alpha=90.00 beta=90.00 gamma=90.00
Space group Pm-3m (No. 221)
Asymmetric unit:
K: 0.0000 0.0000 0.5000 (multiplicity 3)
Ga: 0.5000 0.5000 0.5000 (multiplicity 1)

Peak list (10 most intense, 2θ = 10–80°, in order of falling intensity)
hkl, 2θ (°), I (rel.)
1 1 1, 26.98, 100
2 0 0, 31.25, 50
3 1 1, 53.07, 40
2 2 0, 44.79, 34
3 3 1, 71.90, 15
4 2 0, 74.08, 14
2 2 2, 55.63, 11
1 0 0, 15.48, 7
1 1 0, 21.96, 6
4 0 0, 65.20, 5

---

Entry 7:
K3Ga: computed powder XRD pattern (Cu Kα X-rays), based on a PBE-relaxed structure.
Neutral-atom scattering factors, no anomalous dispersion.

Structure:
Unit cell a=5.7680 b=5.7680 c=11.2994 alpha=90.00 beta=90.00 gamma=90.00
Space group I4/mmm (No. 139)
Asymmetric unit:
K: 0.0000 0.0000 0.0000 (multiplicity 2)
K: 0.0000 0.5000 0.2500 (multiplicity 4)
Ga: 0.0000 0.0000 0.5000 (multiplicity 2)

Peak list (10 most intense, 2θ = 10–80°, in order of falling intensity)
hkl, 2θ (°), I (rel.)
1 1 2, 26.96, 100
2 0 0, 31.01, 34
3 1 2, 52.74, 27
2 0 4, 44.92, 23
0 0 4, 31.67, 16
1 1 6, 53.60, 13
2 2 0, 44.42, 12
2 2 4, 55.58, 11
3 1 6, 72.08, 10
1 0 1, 17.26, 7

---

Entry 8:
K2Li3GaO4: computed powder XRD pattern (Cu Kα X-rays), based on a PBE-relaxed structure.
Neutral-atom scattering factors, no anomalous dispersion.

Structure:
Unit cell a=5.6083 b=8.9085 c=11.0739 alpha=90.00 beta=111.23 gamma=90.00
Space group P2_1/c (No. 14)
Asymmetric unit:
K: 0.2090 0.0072 0.3627 (multiplicity 4)
K: 0.2201 0.2279 0.6092 (multiplicity 4)
Li: 0.1172 0.7385 0.7010 (multiplicity 4)
Li: 0.1285 0.0090 0.9301 (multiplicity 4)
Li: 0.4066 0.5353 0.2972 (multiplicity 4)
Ga: 0.3972 0.7114 0.5635 (multiplicity 4)
O: 0.2416 0.5514 0.6235 (multiplicity 4)
O: 0.2495 0.1778 0.8576 (multiplicity 4)
O: 0.2675 0.6899 0.3818 (multiplicity 4)
O: 0.2825 0.6090 0.1150 (multiplicity 4)

Peak list (10 most intense, 2θ = 10–80°, in order of falling intensity)
hkl, 2θ (°), I (rel.)
2 0 0, 34.26, 100
1 1 -2, 21.75, 72
1 2 2, 34.91, 58
0 2 0, 19.92, 53
0 0 4, 34.76, 43
2 1 -2, 33.88, 36
2 3 -2, 44.73, 31
2 1 0, 35.80, 30
0 0 2, 17.18, 28
0 2 2, 26.43, 25

---

Entry 9:
KMg6Ga: computed powder XRD pattern (Cu Kα X-rays), based on a PBE-relaxed structure.
Neutral-atom scattering factors, no anomalous dispersion.

Structure:
Unit cell a=5.1273 b=6.8372 c=11.7327 alpha=90.00 beta=90.00 gamma=90.00
Space group Amm2 (No. 38)
Asymmetric unit:
K: 0.0000 0.0000 0.0000 (multiplicity 2)
Mg: 0.0000 0.0000 0.4931 (multiplicity 2)
Mg: 0.0000 0.2389 0.2472 (multiplicity 4)
Mg: 0.5000 0.0000 0.6626 (multiplicity 2)
Mg: 0.5000 0.2267 0.4022 (multiplicity 4)
Ga: 0.5000 0.0000 0.1805 (multiplicity 2)

Peak list (10 most intense, 2θ = 10–80°, in order of falling intensity)
hkl, 2θ (°), I (rel.)
2 0 0, 35.05, 100
1 0 4, 35.25, 33
0 1 1, 15.00, 20
0 2 2, 30.26, 17
1 0 2, 23.00, 17
3 2 2, 62.82, 13
2 2 6, 66.01, 12
0 2 6, 54.02, 12
0 0 4, 30.48, 10
2 2 2, 46.93, 10

---

Entry 10:
KMg14Ga: computed powder XRD pattern (Cu Kα X-rays), based on a PBE-relaxed structure.
Neutral-atom scattering factors, no anomalous dispersion.

Structure:
Unit cell a=6.4580 b=6.4580 c=10.6764 alpha=90.00 beta=90.00 gamma=120.00
Space group P-6m2 (No. 187)
Asymmetric unit:
K: 0.0000 0.0000 0.0000 (multiplicity 1)
Mg: 0.0058 0.5029 0.0000 (multiplicity 3)
Mg: 0.1684 0.3368 0.2628 (multiplicity 6)
Mg: 0.5011 0.0023 0.5000 (multiplicity 3)
Mg: 0.6667 0.3333 0.2446 (multiplicity 2)
Ga: 0.0000 0.0000 0.5000 (multiplicity 1)

Peak list (10 most intense, 2θ = 10–80°, in order of falling intensity)
hkl, 2θ (°), I (rel.)
2 0 2, 36.27, 100
0 0 4, 33.58, 27
2 0 0, 32.01, 25
2 0 6, 61.80, 19
2 2 4, 67.84, 19
2 2 0, 57.04, 17
2 0 4, 47.07, 16
4 0 2, 69.50, 13
1 0 0, 15.85, 8
1 0 2, 23.03, 8

---

Entry 11:
KMg14Ga: computed powder XRD pattern (Cu Kα X-rays), based on a PBE-relaxed structure.
Neutral-atom scattering factors, no anomalous dispersion.

Structure:
Unit cell a=10.5530 b=6.5079 c=11.1626 alpha=90.00 beta=90.00 gamma=90.00
Space group Amm2 (No. 38)
Asymmetric unit:
K: 0.0000 0.0000 0.0000 (multiplicity 2)
Mg: 0.0000 0.2432 0.2518 (multiplicity 4)
Mg: 0.2413 0.0000 0.6641 (multiplicity 4)
Mg: 0.2580 0.2413 0.4153 (multiplicity 8)
Mg: 0.2631 0.0000 0.1706 (multiplicity 4)
Mg: 0.5000 0.0000 0.4993 (multiplicity 2)
Mg: 0.5000 0.0000 0.9981 (multiplicity 2)
Mg: 0.5000 0.2479 0.7489 (multiplicity 4)
Ga: 0.0000 0.0000 0.4869 (multiplicity 2)

Peak list (10 most intense, 2θ = 10–80°, in order of falling intensity)
hkl, 2θ (°), I (rel.)
2 2 2, 36.21, 100
2 0 4, 36.42, 45
4 0 0, 33.98, 38
0 2 2, 31.83, 23
6 2 2, 62.26, 19
4 2 6, 68.07, 18
0 2 6, 57.02, 16
4 2 2, 47.25, 14
0 0 4, 32.07, 14
2 4 4, 69.17, 12

---

Entry 12:
KMg6Ga: computed powder XRD pattern (Cu Kα X-rays), based on a PBE-relaxed structure.
Neutral-atom scattering factors, no anomalous dispersion.

Structure:
Unit cell a=5.2073 b=6.7102 c=11.5899 alpha=90.00 beta=90.00 gamma=90.00
Space group Amm2 (No. 38)
Asymmetric unit:
K: 0.0000 0.0000 0.0000 (multiplicity 2)
Mg: 0.0000 0.2451 0.7484 (multiplicity 4)
Mg: 0.5000 0.0000 0.3340 (multiplicity 2)
Mg: 0.5000 0.0000 0.8200 (multiplicity 2)
Mg: 0.5000 0.2288 0.5821 (multiplicity 4)
Ga: 0.0000 0.0000 0.5137 (multiplicity 2)

Peak list (10 most intense, 2θ = 10–80°, in order of falling intensity)
hkl, 2θ (°), I (rel.)
1 2 2, 35.41, 100
0 0 4, 30.82, 28
2 0 0, 34.45, 24
3 2 2, 62.33, 18
0 0 2, 15.27, 17
2 0 4, 46.89, 17
2 2 6, 66.39, 12
0 2 6, 54.84, 11
1 0 2, 22.96, 10
0 4 0, 54.72, 8